Diffraction record for MgBiPO6. The XRD peak list is simulated, not measured: it uses DFT lattice parameters and positions (GGA-PBE) and Cu Ka.
Kinematic intensities with the Lorentz-polarization factor, no thermal factor.

Atomic structure:
Cell lengths 6.563, 5.325, 7.849 Å; angles 90.00, 111.12, 90.00 degrees
Space group P2_1/m (No. 11)
Symmetry-distinct sites (fractional):
Mg  0.147  0.250  0.416
Bi  0.197  0.750  0.042
P  0.373  0.750  0.676
O  0.030  0.020  0.178
O  0.221  0.519  0.610
O  0.443  0.250  0.398
O  0.474  0.750  0.889

The 12 most intense peaks (2θ = 15–90°), in order of rising 2θ:
| (hkl) | d [Å] | 2θ (°) | intensity |
| --- | --- | --- | --- |
| 1 0 -1 | 5.846 | 15.2 | 27.6 |
| 1 1 0 | 4.018 | 22.1 | 100.0 |
| 1 1 -1 | 3.937 | 22.6 | 54.8 |
| 1 0 -2 | 3.803 | 23.4 | 36.2 |
| 0 0 2 | 3.661 | 24.3 | 26.8 |
| 1 1 1 | 3.216 | 27.7 | 87.8 |
| 0 1 2 | 3.017 | 29.6 | 28.8 |
| 2 1 -1 | 2.790 | 32.1 | 40.5 |
| 0 2 0 | 2.662 | 33.7 | 23.7 |
| 2 1 -2 | 2.562 | 35.0 | 38.3 |
| 0 2 1 | 2.502 | 35.9 | 22.6 |
| 1 1 2 | 2.435 | 36.9 | 21.2 |



Diffraction record for Mg2BiPO6. The XRD peak list is simulated, not measured: it uses DFT lattice parameters and positions (GGA-PBE) and Cu Ka.
Kinematic intensities with the Lorentz-polarization factor, no thermal factor.

Atomic structure:
Cell lengths 7.901, 12.104, 5.337 Å; angles 90.00, 90.00, 90.00 degrees
Space group Cmcm (No. 63)
Symmetry-distinct sites (fractional):
Mg  0.196  0.097  0.250
Bi  0.000  0.404  0.250
P  0.000  0.198  0.750
O  0.000  0.124  0.508
O  0.162  0.268  0.750
O  0.172  0.500  0.000

The 12 most intense peaks (2θ = 15–90°), in order of rising 2θ:
| (hkl) | d [Å] | 2θ (°) | intensity |
| --- | --- | --- | --- |
| 1 1 1 | 4.154 | 21.4 | 20.3 |
| 0 2 1 | 4.003 | 22.2 | 40.2 |
| 2 0 0 | 3.951 | 22.5 | 31.2 |
| 1 3 1 | 2.981 | 30.0 | 100.0 |
| 2 2 1 | 2.812 | 31.8 | 89.2 |
| 0 0 2 | 2.668 | 33.6 | 19.4 |
| 1 1 2 | 2.475 | 36.3 | 23.6 |
| 1 5 0 | 2.316 | 38.9 | 19.0 |
| 3 1 2 | 1.852 | 49.2 | 24.3 |
| 3 5 0 | 1.783 | 51.2 | 19.3 |
| 1 5 2 | 1.748 | 52.3 | 20.6 |
| 0 6 2 | 1.610 | 57.2 | 20.5 |



Diffraction record for Mg3Bi2P2O12. The XRD peak list is simulated, not measured: it uses DFT lattice parameters and positions (GGA-PBE) and Cu Ka.
Kinematic intensities with the Lorentz-polarization factor, no thermal factor.

Atomic structure:
Cell lengths 7.869, 5.358, 12.213 Å; angles 90.00, 92.04, 90.00 degrees
Space group Pm (No. 6)
Symmetry-distinct sites (fractional):
Mg  0.000  0.000  0.000
Mg  0.012  0.500  0.808
Mg  0.386  0.000  0.990
Mg  0.494  0.000  0.496
Mg  0.517  0.500  0.303
Mg  0.879  0.000  0.494
Bi  0.180  0.000  0.301
Bi  0.214  0.500  0.494
Bi  0.696  0.500  0.995
Bi  0.697  0.000  0.802
P  0.180  0.000  0.700
P  0.212  0.500  0.096
P  0.687  0.500  0.596
P  0.701  0.000  0.200
O  0.012  0.000  0.632
O  0.032  0.236  0.412
O  0.064  0.500  0.176
O  0.185  0.231  0.776
O  0.198  0.258  0.024
O  0.334  0.000  0.624
O  0.371  0.251  0.393
O  0.386  0.500  0.159
O  0.515  0.500  0.653
O  0.531  0.238  0.902
O  0.555  0.000  0.113
O  0.689  0.229  0.276
O  0.693  0.257  0.524
O  0.839  0.500  0.679
O  0.871  0.250  0.901
O  0.874  0.000  0.142

The 12 most intense peaks (2θ = 15–90°), in order of rising 2θ:
| (hkl) | d [Å] | 2θ (°) | intensity |
| --- | --- | --- | --- |
| 1 1 1 | 4.136 | 21.5 | 30.3 |
| 0 1 2 | 4.026 | 22.1 | 94.2 |
| 2 0 0 | 3.932 | 22.6 | 67.9 |
| 1 1 -3 | 3.026 | 29.5 | 100.0 |
| 1 1 3 | 2.966 | 30.1 | 89.8 |
| 2 1 -2 | 2.847 | 31.4 | 78.1 |
| 2 1 2 | 2.780 | 32.2 | 77.6 |
| 0 2 0 | 2.679 | 33.4 | 34.6 |
| 1 2 -1 | 2.488 | 36.1 | 24.0 |
| 1 2 1 | 2.477 | 36.3 | 23.3 |
| 3 2 -1 | 1.859 | 49.0 | 25.6 |
| 1 2 5 | 1.749 | 52.3 | 37.7 |



Diffraction record for MgBi4P8O28. The XRD peak list is simulated, not measured: it uses DFT lattice parameters and positions (GGA-PBE) and Cu Ka.
Kinematic intensities with the Lorentz-polarization factor, no thermal factor.

Atomic structure:
Cell lengths 5.248, 9.236, 13.603 Å; angles 76.15, 89.70, 89.86 degrees
Space group P1 (No. 1)
Symmetry-distinct sites (fractional):
Mg  0.000  0.000  0.000
Bi  0.007  0.085  0.731
Bi  0.465  0.558  0.797
Bi  0.495  0.081  0.306
Bi  0.970  0.605  0.246
P  0.488  0.405  0.397
P  0.488  0.853  0.124
P  0.493  0.883  0.898
P  0.501  0.309  0.624
P  0.948  0.326  0.929
P  0.970  0.274  0.160
P  0.983  0.765  0.647
P  0.986  0.850  0.419
O  0.016  0.191  0.886
O  0.077  0.429  0.150
O  0.115  0.143  0.227
O  0.123  0.459  0.902
O  0.199  0.873  0.112
O  0.205  0.909  0.903
O  0.260  0.752  0.685
O  0.272  0.888  0.402
O  0.302  0.527  0.349
O  0.341  0.173  0.622
O  0.381  0.397  0.696
O  0.397  0.246  0.398
O  0.499  0.419  0.513
O  0.565  0.723  0.898
O  0.569  0.692  0.163
O  0.616  0.964  0.176
O  0.617  0.912  0.007
O  0.624  0.004  0.820
O  0.667  0.370  0.915
O  0.686  0.268  0.191
O  0.761  0.431  0.355
O  0.786  0.274  0.646
O  0.823  0.991  0.415
O  0.828  0.632  0.707
O  0.876  0.920  0.644
O  0.877  0.755  0.353
O  0.975  0.745  0.533
O  0.983  0.234  0.049

The 12 most intense peaks (2θ = 15–90°), in order of rising 2θ:
| (hkl) | d [Å] | 2θ (°) | intensity |
| --- | --- | --- | --- |
| 0 2 0 | 4.484 | 19.8 | 12.4 |
| 1 1 1 | 4.453 | 19.9 | 22.3 |
| 0 1 3 | 4.390 | 20.2 | 10.5 |
| 0 2 2 | 4.207 | 21.1 | 48.4 |
| 1 -1 1 | 4.133 | 21.5 | 100.0 |
| 0 2 -2 | 3.357 | 26.6 | 18.0 |
| 0 2 4 | 3.027 | 29.5 | 16.2 |
| 1 -1 3 | 2.987 | 29.9 | 14.0 |
| 1 1 -3 | 2.977 | 30.0 | 12.2 |
| -1 3 1 | 2.655 | 33.8 | 21.6 |
| 2 0 0 | 2.625 | 34.2 | 17.2 |
| 2 2 0 | 2.266 | 39.8 | 12.0 |



Diffraction record for MgTiBiP3O12. The XRD peak list is simulated, not measured: it uses DFT lattice parameters and positions (GGA-PBE) and Cu Ka.
Kinematic intensities with the Lorentz-polarization factor, no thermal factor.

Atomic structure:
Cell lengths 8.9812, 8.9812, 19.8265 Å; angles 90.00, 90.00, 120.00 degrees
Space group R3c (No. 161, hexagonal axes)
Symmetry-distinct sites (fractional):
Mg  0.0000  0.0000  0.0000
Ti  0.0000  0.0000  0.1558
Bi  0.0000  0.0000  0.3390
P  0.0087  0.3225  0.2582
O  0.9995  0.1748  0.9248
O  0.0094  0.1905  0.2041
O  0.0216  0.2634  0.3284
O  0.1651  0.0011  0.5770

The 12 most intense peaks (2θ = 15–90°), in order of rising 2θ:
| (hkl) | d [Å] | 2θ (°) | intensity |
| --- | --- | --- | --- |
| 1 1 0 | 4.491 | 19.8 | 100.0 |
| 1 0 4 | 4.180 | 21.3 | 57.6 |
| 1 1 3 | 3.714 | 24.0 | 44.9 |
| 2 0 2 | 3.620 | 24.6 | 24.1 |
| 0 2 4 | 3.060 | 29.2 | 23.1 |
| 1 2 2 | 2.818 | 31.7 | 27.4 |
| 1 1 6 | 2.662 | 33.7 | 83.7 |
| 3 0 0 | 2.593 | 34.6 | 54.0 |
| 2 1 4 | 2.529 | 35.5 | 31.2 |
| 0 3 6 | 2.040 | 44.4 | 26.8 |
| 2 2 6 | 1.857 | 49.1 | 40.4 |
| 1 4 6 | 1.510 | 61.4 | 34.7 |